# 1
Structure and calculated XRD peak list of Ta2GaHPd (a structure optimized by DFT (PBE); Cu Kα (weighted mean of Kα1 and Kα2)).
Intensities are scaled so that the largest is 100.

Principal peaks in the range 10° ≤ 2θ ≤ 90°, low angle first:
- d 4.287, 20.72°, rel. 12, (0 0 1)
- d 2.829, 31.63°, rel. 8, (1 1 0)
- d 2.361, 38.11°, rel. 100, (1 1 1)
- d 2.143, 42.16°, rel. 19, (0 0 2)
- d 2.000, 45.33°, rel. 31, (2 0 0)
- d 1.462, 63.63°, rel. 22, (2 0 2)
- d 1.415, 66.05°, rel. 10, (2 2 0)
- d 1.275, 74.38°, rel. 14, (1 1 3)
- d 1.213, 78.89°, rel. 24, (3 1 1)
- d 1.181, 81.54°, rel. 11, (2 2 2)

Crystal structure
Cell: 4.001 4.001 4.287 Å, 90.00 90.00 90.00°
Fractional coordinates of all 5 atoms:
Ta 0.000 0.500 0.000
Ta 0.500 0.000 0.000
Ga 0.000 0.000 0.500
H 0.500 0.500 0.000
Pd 0.500 0.500 0.500


# 2
Structure and calculated XRD peak list of YHo3S3 (a structure optimized by DFT (PBE); Cu Kα (weighted mean of Kα1 and Kα2)).
Intensities are scaled so that the largest is 100.

Principal peaks in the range 10° ≤ 2θ ≤ 90°, low angle first:
- d 3.148, 28.35°, rel. 100, (2 2 1)
- d 2.732, 32.79°, rel. 70, (4 0 0)
- d 2.716, 32.98°, rel. 34, (0 0 2)
- d 1.932, 47.05°, rel. 25, (4 4 0)
- d 1.926, 47.19°, rel. 49, (4 0 2)
- d 1.646, 55.84°, rel. 31, (6 2 1)
- d 1.640, 56.09°, rel. 16, (2 2 3)
- d 1.574, 58.65°, rel. 25, (4 4 2)
- d 1.250, 76.16°, rel. 12, (6 2 3)
- d 1.114, 87.57°, rel. 17, (8 4 2)

Crystal structure
Cell: 10.926 10.926 5.432 Å, 90.00 90.00 90.00°
Fractional coordinates of all 28 atoms:
Y 0.121 0.121 0.000
Y 0.379 0.621 0.500
Y 0.621 0.379 0.500
Y 0.879 0.879 0.000
Ho 0.120 0.627 0.000
Ho 0.127 0.380 0.500
Ho 0.127 0.873 0.500
Ho 0.373 0.373 0.000
Ho 0.373 0.880 0.000
Ho 0.380 0.127 0.500
Ho 0.620 0.873 0.500
Ho 0.627 0.120 0.000
Ho 0.627 0.627 0.000
Ho 0.873 0.127 0.500
Ho 0.873 0.620 0.500
Ho 0.880 0.373 0.000
S 0.126 0.374 0.000
S 0.126 0.626 0.500
S 0.126 0.874 0.000
S 0.374 0.126 0.000
S 0.374 0.374 0.500
S 0.374 0.874 0.500
S 0.626 0.126 0.500
S 0.626 0.626 0.500
S 0.626 0.874 0.000
S 0.874 0.126 0.000
S 0.874 0.374 0.500
S 0.874 0.626 0.000


# 3
Structure and calculated XRD peak list of Th2CoBi2 (a structure optimized by DFT (PBE); Cu Kα (weighted mean of Kα1 and Kα2)).
Intensities are scaled so that the largest is 100.

Principal peaks in the range 10° ≤ 2θ ≤ 90°, low angle first:
- d 3.059, 29.20°, rel. 19, (2 0 0)
- d 2.981, 29.98°, rel. 23, (0 4 0)
- d 2.963, 30.16°, rel. 11, (2 1 0)
- d 2.837, 31.53°, rel. 100, (1 2 1)
- d 2.135, 42.34°, rel. 17, (2 4 0)
- d 1.899, 47.92°, rel. 11, (0 0 2)
- d 1.776, 51.44°, rel. 10, (3 1 1)
- d 1.720, 53.25°, rel. 9, (3 2 1)
- d 1.692, 54.21°, rel. 14, (1 6 1)
- d 1.419, 65.83°, rel. 10, (2 4 2)

Crystal structure
Cell: 6.118 11.924 3.797 Å, 90.00 90.00 90.00°
Fractional coordinates of all 10 atoms:
Th 0.219 0.110 0.000
Th 0.281 0.610 0.000
Th 0.719 0.390 0.000
Th 0.781 0.890 0.000
Co 0.000 0.000 0.500
Co 0.500 0.500 0.500
Bi 0.185 0.354 0.500
Bi 0.315 0.854 0.500
Bi 0.685 0.146 0.500
Bi 0.815 0.646 0.500


Please write out number 1 again, unchanged.
Structure and calculated XRD peak list of Ta2GaHPd (a structure optimized by DFT (PBE); Cu Kα (weighted mean of Kα1 and Kα2)).
Intensities are scaled so that the largest is 100.

Principal peaks in the range 10° ≤ 2θ ≤ 90°, low angle first:
- d 4.287, 20.72°, rel. 12, (0 0 1)
- d 2.829, 31.63°, rel. 8, (1 1 0)
- d 2.361, 38.11°, rel. 100, (1 1 1)
- d 2.143, 42.16°, rel. 19, (0 0 2)
- d 2.000, 45.33°, rel. 31, (2 0 0)
- d 1.462, 63.63°, rel. 22, (2 0 2)
- d 1.415, 66.05°, rel. 10, (2 2 0)
- d 1.275, 74.38°, rel. 14, (1 1 3)
- d 1.213, 78.89°, rel. 24, (3 1 1)
- d 1.181, 81.54°, rel. 11, (2 2 2)

Crystal structure
Cell: 4.001 4.001 4.287 Å, 90.00 90.00 90.00°
Fractional coordinates of all 5 atoms:
Ta 0.000 0.500 0.000
Ta 0.500 0.000 0.000
Ga 0.000 0.000 0.500
H 0.500 0.500 0.000
Pd 0.500 0.500 0.500